Entry 1:
This entry pairs a crystal structure of Mg6NbW with its simulated powder diffraction line list. Radiation: CuKα. Structure: the GGA-PBE geometry in the Materials Project.
Kinematic intensities with the Lorentz-polarization factor, no thermal factor.

Peak list (10 most intense, 10 to 90 degrees two-theta, by angle)
2θ/deg  I_rel
16.19  36
16.76  100
24.64  23
33.89  33
34.23  31
37.40  27
37.82  50
38.86  56
41.24  21
51.36  20

Structural model:
```
data_Mg6NbW
_chemical_formula_sum 'Mg6 Nb1 W1'
_symmetry_space_group_name_H-M 'P 1'
_symmetry_Int_Tables_number 1
_symmetry_space_group_name_Hall 'P 1'
_cell_length_a 4.809
_cell_length_b 6.252
_cell_length_c 6.252
_cell_angle_alpha 57.78
_cell_angle_beta 90.00
_cell_angle_gamma 90.00
loop_
_atom_site_label
_atom_site_fract_x
_atom_site_fract_y
_atom_site_fract_z
Mg1 0.000 0.000 0.000
Mg2 0.000 0.004 0.485
Mg3 0.000 0.485 0.004
Mg4 0.500 0.349 0.834
Mg5 0.500 0.834 0.349
Mg6 0.500 0.837 0.837
Nb1 0.000 0.478 0.478
W1 0.500 0.357 0.357
```

---

Entry 2:
This entry pairs a crystal structure of SmGa6 with its simulated powder diffraction line list. Radiation: CuKα. Structure: the GGA-PBE geometry in the Materials Project.
Kinematic intensities with the Lorentz-polarization factor, no thermal factor.

Peak list (10 most intense, 10 to 90 degrees two-theta, by angle)
2θ/deg  I_rel
31.43  33
31.80  100
35.16  24
40.88  21
41.33  40
42.20  40
46.68  12
53.55  21
69.61  14
76.55  15

Structural model:
```
data_SmGa6
_chemical_formula_sum 'Sm2 Ga12'
_symmetry_space_group_name_H-M 'P 1'
_symmetry_Int_Tables_number 1
_symmetry_space_group_name_Hall 'P 1'
_cell_length_a 6.057
_cell_length_b 6.057
_cell_length_c 7.619
_cell_angle_alpha 90.00
_cell_angle_beta 90.00
_cell_angle_gamma 90.00
loop_
_atom_site_label
_atom_site_fract_x
_atom_site_fract_y
_atom_site_fract_z
Sm1 0.250 0.750 0.000
Sm2 0.750 0.250 0.000
Ga1 0.054 0.554 0.348
Ga2 0.054 0.946 0.652
Ga3 0.250 0.250 0.162
Ga4 0.250 0.250 0.838
Ga5 0.446 0.554 0.652
Ga6 0.446 0.946 0.348
Ga7 0.554 0.054 0.652
Ga8 0.554 0.446 0.348
Ga9 0.750 0.750 0.162
Ga10 0.750 0.750 0.838
Ga11 0.946 0.054 0.348
Ga12 0.946 0.446 0.652
```

---

Entry 3:
This entry pairs a crystal structure of Ba3SrMg2Te2O12 with its simulated powder diffraction line list. Radiation: CuKα. Structure: the GGA-PBE geometry in the Materials Project.
Kinematic intensities with the Lorentz-polarization factor, no thermal factor.

Peak list (10 most intense, 10 to 90 degrees two-theta, by angle)
2θ/deg  I_rel
18.79  21
30.93  100
36.44  10
38.12  11
44.30  33
55.00  40
64.45  20
73.19  18
81.55  7
89.72  22

Structural model:
```
data_Ba3SrMg2Te2O12
_chemical_formula_sum 'Ba3 Sr1 Mg2 Te2 O12'
_symmetry_space_group_name_H-M 'P 1'
_symmetry_Int_Tables_number 1
_symmetry_space_group_name_Hall 'P 1'
_cell_length_a 10.014
_cell_length_b 10.014
_cell_length_c 10.014
_cell_angle_alpha 33.57
_cell_angle_beta 33.57
_cell_angle_gamma 33.57
loop_
_atom_site_label
_atom_site_fract_x
_atom_site_fract_y
_atom_site_fract_z
Ba1 0.000 0.000 0.000
Ba2 0.250 0.250 0.250
Ba3 0.499 0.499 0.499
Sr1 0.750 0.750 0.750
Mg1 0.375 0.375 0.375
Mg2 0.874 0.874 0.874
Te1 0.124 0.124 0.124
Te2 0.625 0.625 0.625
O1 0.003 0.003 0.485
O2 0.003 0.485 0.003
O3 0.244 0.244 0.766
O4 0.244 0.766 0.244
O5 0.266 0.744 0.744
O6 0.485 0.003 0.003
O7 0.507 0.507 0.982
O8 0.507 0.982 0.507
O9 0.744 0.266 0.744
O10 0.744 0.744 0.266
O11 0.766 0.244 0.244
O12 0.982 0.507 0.507
```